[1]
Structure and simulated powder diffractogram of Cd4BiAs (a PBE-relaxed structure; Cu Kα X-rays).
No peak broadening, texture or thermal motion is included.

Largest 10 diffraction maxima, low angle first, 10 to 90 degrees two-theta:
22.04°, intensity 54
28.67°, intensity 13
36.20°, intensity 100
36.71°, intensity 51
42.35°, intensity 10
43.23°, intensity 19
52.89°, intensity 17
64.79°, intensity 15
65.78°, intensity 34
76.84°, intensity 9

Atomic structure:
a b c (Å): 4.8966 4.8966 7.1144
angles (deg): 90.00 90.00 90.00
Fractional coordinates of all 6 atoms:
Cd 0.0000 0.5000 0.2267
Cd 0.0000 0.5000 0.7733
Cd 0.5000 0.0000 0.2267
Cd 0.5000 0.0000 0.7733
Bi 0.0000 0.0000 0.5000
As 0.5000 0.5000 0.0000

***

[2]
Structure and simulated powder diffractogram of CsBiAsO4 (a PBE-relaxed structure; Cu Kα X-rays).
No peak broadening, texture or thermal motion is included.

Largest 10 diffraction maxima, low angle first, 10 to 90 degrees two-theta:
16.44°, intensity 63
27.01°, intensity 100
31.79°, intensity 29
38.57°, intensity 14
42.19°, intensity 20
47.72°, intensity 42
55.69°, intensity 17
58.48°, intensity 13
62.96°, intensity 18
76.32°, intensity 22

Atomic structure:
a b c (Å): 6.6021 6.6021 6.6021
angles (deg): 60.00 60.00 60.00
Fractional coordinates of all 7 atoms:
Cs 0.0000 0.0000 0.0000
Bi 0.7500 0.7500 0.7500
As 0.5000 0.5000 0.5000
O 0.1641 0.6120 0.6120
O 0.6120 0.1641 0.6120
O 0.6120 0.6120 0.1641
O 0.6120 0.6120 0.6120

***

[3]
Structure and simulated powder diffractogram of Cs2Sc2Bi2As (a PBE-relaxed structure; Cu Kα X-rays).
No peak broadening, texture or thermal motion is included.

Largest 10 diffraction maxima, low angle first, 10 to 90 degrees two-theta:
17.68°, intensity 13
24.26°, intensity 67
28.49°, intensity 100
30.41°, intensity 25
34.57°, intensity 44
45.39°, intensity 57
49.70°, intensity 16
56.04°, intensity 14
58.28°, intensity 14
69.56°, intensity 16

Atomic structure:
a b c (Å): 5.1891 5.1891 19.6478
angles (deg): 90.00 90.00 90.00
Fractional coordinates of all 14 atoms:
Cs 0.0000 0.0000 0.1793
Cs 0.0000 0.0000 0.8207
Cs 0.5000 0.5000 0.3207
Cs 0.5000 0.5000 0.6793
Sc 0.0000 0.5000 0.0000
Sc 0.0000 0.5000 0.5000
Sc 0.5000 0.0000 0.0000
Sc 0.5000 0.0000 0.5000
Bi 0.0000 0.0000 0.4036
Bi 0.0000 0.0000 0.5964
Bi 0.5000 0.5000 0.0964
Bi 0.5000 0.5000 0.9036
As 0.0000 0.0000 0.0000
As 0.5000 0.5000 0.5000

***

[4]
Structure and simulated powder diffractogram of CsTcBiAs2 (a PBE-relaxed structure; Cu Kα X-rays).
No peak broadening, texture or thermal motion is included.

Largest 10 diffraction maxima, low angle first, 10 to 90 degrees two-theta:
23.95°, intensity 36
25.49°, intensity 39
30.09°, intensity 100
31.76°, intensity 50
36.35°, intensity 70
41.15°, intensity 23
49.03°, intensity 59
52.36°, intensity 24
61.58°, intensity 27
62.55°, intensity 29

Atomic structure:
a b c (Å): 4.9426 4.9426 5.6349
angles (deg): 90.00 90.00 90.00
Fractional coordinates of all 5 atoms:
Cs 0.0000 0.0000 0.0000
Tc 0.0000 0.0000 0.5000
Bi 0.5000 0.5000 0.0000
As 0.0000 0.5000 0.5000
As 0.5000 0.0000 0.5000

***

[5]
Structure and simulated powder diffractogram of Na2Cu3Bi2As2O13 (a PBE-relaxed structure; Cu Kα X-rays).
No peak broadening, texture or thermal motion is included.

Largest 10 diffraction maxima, low angle first, 10 to 90 degrees two-theta:
21.74°, intensity 69
25.96°, intensity 29
26.90°, intensity 78
31.93°, intensity 100
32.49°, intensity 97
33.00°, intensity 40
33.14°, intensity 59
34.42°, intensity 64
40.01°, intensity 33
48.41°, intensity 36

Atomic structure:
a b c (Å): 5.6335 5.6335 12.9866
angles (deg): 106.12 106.12 55.13
Fractional coordinates of all 22 atoms:
Na 0.1619 0.1619 0.0828
Na 0.8381 0.8381 0.9172
Cu 0.0532 0.9468 0.5000
Cu 0.3589 0.3014 0.3382
Cu 0.6986 0.6411 0.6618
Bi 0.3907 0.2911 0.6055
Bi 0.7089 0.6093 0.3945
As 0.1288 0.0595 0.7820
As 0.9405 0.8712 0.2180
O 0.0138 0.8614 0.6758
O 0.0368 0.8117 0.0973
O 0.1386 0.9862 0.3242
O 0.1568 0.5442 0.4604
O 0.1883 0.9632 0.9027
O 0.4460 0.0089 0.7536
O 0.4558 0.8432 0.5396
O 0.5674 0.1318 0.2169
O 0.6540 0.0525 0.4449
O 0.6612 0.3388 0.0000
O 0.8682 0.4326 0.7831
O 0.9475 0.3460 0.5551
O 0.9911 0.5540 0.2464

***

[6]
Structure and simulated powder diffractogram of Dy5Bi4As (a PBE-relaxed structure; Cu Kα X-rays).
No peak broadening, texture or thermal motion is included.

Largest 10 diffraction maxima, low angle first, 10 to 90 degrees two-theta:
28.62°, intensity 100
40.92°, intensity 76
50.70°, intensity 27
59.21°, intensity 9
59.36°, intensity 4
67.07°, intensity 24
67.19°, intensity 10
74.50°, intensity 18
74.60°, intensity 8
88.77°, intensity 5

Atomic structure:
a b c (Å): 15.8787 15.8787 15.8787
angles (deg): 164.02 164.02 22.67
Fractional coordinates of all 10 atoms:
Dy 0.0000 0.0000 0.0000
Dy 0.2009 0.2009 0.0000
Dy 0.4074 0.4074 0.0000
Dy 0.5926 0.5926 0.0000
Dy 0.7991 0.7991 0.0000
Bi 0.0996 0.0996 0.0000
Bi 0.3030 0.3030 0.0000
Bi 0.6970 0.6970 0.0000
Bi 0.9004 0.9004 0.0000
As 0.5000 0.5000 0.0000

***

[7]
Structure and simulated powder diffractogram of Dy6BiAs2P3 (a PBE-relaxed structure; Cu Kα X-rays).
No peak broadening, texture or thermal motion is included.

Largest 10 diffraction maxima, low angle first, 10 to 90 degrees two-theta:
26.60°, intensity 12
30.68°, intensity 100
43.67°, intensity 12
43.88°, intensity 24
44.01°, intensity 25
44.23°, intensity 12
54.79°, intensity 13
63.90°, intensity 12
72.44°, intensity 10
72.64°, intensity 11

Atomic structure:
a b c (Å): 9.2243 9.2243 8.2908
angles (deg): 103.21 103.21 25.65
Fractional coordinates of all 12 atoms:
Dy 0.0013 0.0013 0.2283
Dy 0.3248 0.3248 0.4158
Dy 0.3332 0.3332 0.9131
Dy 0.6668 0.6668 0.0869
Dy 0.6752 0.6752 0.5842
Dy 0.9987 0.9987 0.7717
Bi 0.5000 0.5000 0.5000
As 0.1669 0.1669 0.8341
As 0.8331 0.8331 0.1659
P 0.1657 0.1657 0.3316
P 0.5000 0.5000 0.0000
P 0.8343 0.8343 0.6684